Record 1
RbPr2PbSe4: calculated powder diffractogram (Cu Kα), based on DFT lattice parameters and positions (GGA-PBE).
Intensities are scaled so that the largest is 100.

Atomic structure:
a = 8.606 Å, b = 9.227 Å, c = 12.549 Å
α = 90.00°, β = 90.00°, γ = 90.00°
Space group Imma (No. 74)
Inequivalent atoms, fractional coordinates:
Rb (0.250, 0.250, 0.250) (multiplicity 4)
Pr (0.000, 0.000, 0.000) (multiplicity 4)
Pr (0.250, 0.250, 0.750) (multiplicity 4)
Pb (0.000, 0.000, 0.500) (multiplicity 4)
Se (0.000, 0.026, 0.757) (multiplicity 8)
Se (0.242, 0.250, 0.989) (multiplicity 8)

Most intense lines, 15° ≤ 2θ ≤ 90°, low angle first:
hkl 2 2 0, 2θ = 28.39°, I = 100
hkl 0 4 0, 2θ = 39.05°, I = 13
hkl 2 2 4, 2θ = 40.61°, I = 50
hkl 4 0 0, 2θ = 42.00°, I = 12
hkl 0 4 4, 2θ = 49.02°, I = 14
hkl 4 0 4, 2θ = 51.51°, I = 14

Record 2
Pr2Rh3Pb2: calculated powder diffractogram (Cu Kα), based on DFT lattice parameters and positions (GGA-PBE).
Intensities are scaled so that the largest is 100.

Atomic structure:
a = 8.767 Å, b = 8.767 Å, c = 8.767 Å
α = 90.00°, β = 90.00°, γ = 90.00°
Space group I2_13 (No. 199)
Inequivalent atoms, fractional coordinates:
Pr (0.013, 0.013, 0.013) (multiplicity 8)
Rh (0.000, 0.250, 0.235) (multiplicity 12)
Pb (0.198, 0.302, 0.698) (multiplicity 8)

Most intense lines, 15° ≤ 2θ ≤ 90°, low angle first:
hkl 2 2 0, 2θ = 28.80°, I = 100
hkl 3 0 1, 2θ = 32.29°, I = 73
hkl 3 2 1, 2θ = 38.42°, I = 93
hkl 4 0 0, 2θ = 41.19°, I = 49
hkl 4 3 1, 2θ = 53.28°, I = 36
hkl 6 2 2, 2θ = 71.36°, I = 36

Record 3
Pr2PbS4: calculated powder diffractogram (Cu Kα), based on DFT lattice parameters and positions (GGA-PBE).
Intensities are scaled so that the largest is 100.

Atomic structure:
a = 8.754 Å, b = 8.754 Å, c = 8.732 Å
α = 90.00°, β = 90.00°, γ = 90.00°
Space group I-42d (No. 122)
Inequivalent atoms, fractional coordinates:
Pr (0.134, 0.250, 0.125) (multiplicity 8)
Pb (0.000, 0.000, 0.500) (multiplicity 4)
S (0.075, 0.173, 0.808) (multiplicity 16)

Most intense lines, 15° ≤ 2θ ≤ 90°, low angle first:
hkl 1 1 2, 2θ = 24.94°, I = 100
hkl 3 0 1, 2θ = 32.37°, I = 84
hkl 3 1 2, 2θ = 38.51°, I = 54
hkl 2 0 4, 2θ = 46.44°, I = 38
hkl 3 2 3, 2θ = 48.84°, I = 25
hkl 4 3 1, 2θ = 53.40°, I = 28

Please write out number 3 again, unchanged.
Pr2PbS4: calculated powder diffractogram (Cu Kα), based on DFT lattice parameters and positions (GGA-PBE).
Intensities are scaled so that the largest is 100.

Atomic structure:
a = 8.754 Å, b = 8.754 Å, c = 8.732 Å
α = 90.00°, β = 90.00°, γ = 90.00°
Space group I-42d (No. 122)
Inequivalent atoms, fractional coordinates:
Pr (0.134, 0.250, 0.125) (multiplicity 8)
Pb (0.000, 0.000, 0.500) (multiplicity 4)
S (0.075, 0.173, 0.808) (multiplicity 16)

Most intense lines, 15° ≤ 2θ ≤ 90°, low angle first:
hkl 1 1 2, 2θ = 24.94°, I = 100
hkl 3 0 1, 2θ = 32.37°, I = 84
hkl 3 1 2, 2θ = 38.51°, I = 54
hkl 2 0 4, 2θ = 46.44°, I = 38
hkl 3 2 3, 2θ = 48.84°, I = 25
hkl 4 3 1, 2θ = 53.40°, I = 28